Structure and calculated powder XRD pattern of RbCu3SiSe4 (DFT lattice parameters and positions (GGA-PBE); Cu Kα (λ = 1.5418 Å)).
Lines closer than 0.1° are merged.

Principal peaks in the range 10° ≤ 2θ ≤ 90°, low angle first:
- (1 0 0), 14.2 deg, I 162
- (1 1 1), 24.8 deg, I 1000
- (2 1 1), 35.3 deg, I 169
- (2 2 0), 41.0 deg, I 817
- (3 1 1), 48.5 deg, I 386
- (3 2 0), 53.0 deg, I 96
- (4 0 0), 59.3 deg, I 99
- (4 1 1), 63.3 deg, I 120
- (3 3 1), 65.3 deg, I 94
- (4 2 2), 74.6 deg, I 168

Structure:
```
data_RbCu3SiSe4
_chemical_formula_sum 'Rb1 Cu3 Si1 Se4'
_cell_length_a 6.229
_cell_length_b 6.229
_cell_length_c 6.229
_cell_angle_alpha 90.00
_cell_angle_beta 90.00
_cell_angle_gamma 90.00
_symmetry_space_group_name_H-M 'P -4 3 m'
_symmetry_Int_Tables_number 215
_symmetry_space_group_name_Hall 'P -4 2 3'
loop_
_atom_site_label
_atom_site_type_symbol
_atom_site_fract_x
_atom_site_fract_y
_atom_site_fract_z
Rb1 Rb 0.000 0.000 0.000
Cu1 Cu 0.000 0.500 0.500
Si1 Si 0.500 0.500 0.500
Se1 Se 0.290 0.290 0.710
```

***

Structure and calculated powder XRD pattern of RbSm2CuSe4 (DFT lattice parameters and positions (GGA-PBE); Cu Kα (λ = 1.5418 Å)).
Lines closer than 0.1° are merged.

Principal peaks in the range 10° ≤ 2θ ≤ 90°, low angle first:
- (0 2 1), 13.6 deg, I 440
- (0 2 3), 22.0 deg, I 432
- (0 2 4), 27.3 deg, I 329
- (1 3 1), 28.7 deg, I 802
- (1 3 2), 30.7 deg, I 1000
- (0 2 5), 33.0 deg, I 368
- (1 1 5), 38.0 deg, I 354
- (0 6 3), 41.6 deg, I 253
- (1 5 3), 42.1 deg, I 807
- (2 0 0), 43.0 deg, I 393

Structure:
```
data_RbSm2CuSe4
_chemical_formula_sum 'Rb4 Sm8 Cu4 Se16'
_cell_length_a 4.206
_cell_length_b 14.553
_cell_length_c 14.605
_cell_angle_alpha 90.00
_cell_angle_beta 90.00
_cell_angle_gamma 90.00
_symmetry_space_group_name_H-M 'C m c m'
_symmetry_Int_Tables_number 63
_symmetry_space_group_name_Hall '-C 2c 2'
loop_
_atom_site_label
_atom_site_type_symbol
_atom_site_fract_x
_atom_site_fract_y
_atom_site_fract_z
Rb1 Rb 0.000 0.109 0.250
Sm1 Sm 0.000 0.366 0.063
Cu1 Cu 0.000 0.162 0.750
Se1 Se 0.000 0.000 0.000
Se2 Se 0.000 0.262 0.612
Se3 Se 0.000 0.429 0.250
```

***

Structure and calculated powder XRD pattern of RbCu3SnSe4 (DFT lattice parameters and positions (GGA-PBE); Cu Kα (λ = 1.5418 Å)).
Lines closer than 0.1° are merged.

Principal peaks in the range 10° ≤ 2θ ≤ 90°, low angle first:
- (1 0 0), 13.9 deg, I 319
- (1 1 0), 19.7 deg, I 263
- (1 1 1), 24.2 deg, I 643
- (2 1 1), 34.5 deg, I 160
- (2 2 0), 40.0 deg, I 1000
- (3 1 1), 47.3 deg, I 262
- (3 2 0), 51.8 deg, I 111
- (3 2 1), 53.9 deg, I 115
- (4 0 0), 57.9 deg, I 151
- (4 2 2), 72.8 deg, I 282

Structure:
```
data_RbCu3SnSe4
_chemical_formula_sum 'Rb1 Cu3 Sn1 Se4'
_cell_length_a 6.368
_cell_length_b 6.368
_cell_length_c 6.368
_cell_angle_alpha 90.00
_cell_angle_beta 90.00
_cell_angle_gamma 90.00
_symmetry_space_group_name_H-M 'P -4 3 m'
_symmetry_Int_Tables_number 215
_symmetry_space_group_name_Hall 'P -4 2 3'
loop_
_atom_site_label
_atom_site_type_symbol
_atom_site_fract_x
_atom_site_fract_y
_atom_site_fract_z
Rb1 Rb 0.000 0.000 0.000
Cu1 Cu 0.000 0.500 0.500
Sn1 Sn 0.500 0.500 0.500
Se1 Se 0.275 0.275 0.725
```

***

Structure and calculated powder XRD pattern of Rb2TaCuSe4 (DFT lattice parameters and positions (GGA-PBE); Cu Kα (λ = 1.5418 Å)).
Lines closer than 0.1° are merged.

Principal peaks in the range 10° ≤ 2θ ≤ 90°, low angle first:
- (0 0 4), 14.1 deg, I 726
- (0 2 2), 14.2 deg, I 945
- (1 3 1), 24.4 deg, I 454
- (0 2 6), 24.6 deg, I 682
- (1 3 3), 26.4 deg, I 503
- (1 3 5), 30.1 deg, I 1000
- (2 0 6), 37.7 deg, I 561
- (2 4 2), 40.7 deg, I 317
- (0 6 6), 43.7 deg, I 338
- (2 6 0), 49.5 deg, I 388

Structure:
```
data_Rb2TaCuSe4
_chemical_formula_sum 'Rb16 Ta8 Cu8 Se32'
_cell_length_a 5.802
_cell_length_b 14.295
_cell_length_c 25.210
_cell_angle_alpha 90.00
_cell_angle_beta 90.00
_cell_angle_gamma 90.00
_symmetry_space_group_name_H-M 'F d d d'
_symmetry_Int_Tables_number 70
loop_
_symmetry_equiv_pos_as_xyz
'x,y,z'
'-x,-y,-z'
'-x+1/4,-y+1/4,z'
'x+1/4,y+1/4,-z'
'x,-y+1/4,-z+1/4'
'-x,y+1/4,z+1/4'
'-x+1/4,y,-z+1/4'
'x+1/4,-y,z+1/4'
'x,y+1/2,z+1/2'
'-x,-y+1/2,-z+1/2'
'-x+1/4,-y+3/4,z+1/2'
'x+1/4,y+3/4,-z+1/2'
'x,-y+3/4,-z+3/4'
'-x,y+3/4,z+3/4'
'-x+1/4,y+1/2,-z+3/4'
'x+1/4,-y+1/2,z+3/4'
'x+1/2,y,z+1/2'
'-x+1/2,-y,-z+1/2'
'-x+3/4,-y+1/4,z+1/2'
'x+3/4,y+1/4,-z+1/2'
'x+1/2,-y+1/4,-z+3/4'
'-x+1/2,y+1/4,z+3/4'
'-x+3/4,y,-z+3/4'
'x+3/4,-y,z+3/4'
'x+1/2,y+1/2,z'
'-x+1/2,-y+1/2,-z'
'-x+3/4,-y+3/4,z'
'x+3/4,y+3/4,-z'
'x+1/2,-y+3/4,-z+1/4'
'-x+1/2,y+3/4,z+1/4'
'-x+3/4,y+1/2,-z+1/4'
'x+3/4,-y+1/2,z+1/4'
loop_
_atom_site_label
_atom_site_type_symbol
_atom_site_fract_x
_atom_site_fract_y
_atom_site_fract_z
Rb1 Rb 0.125 0.125 0.304
Ta1 Ta 0.125 0.125 0.125
Cu1 Cu 0.125 0.125 0.625
Se1 Se 0.119 0.277 0.430
```